Calculated powder diffraction line list
Compound: Li7Mn4CoO12
Radiation: CuKα
Structure: a cell relaxed with GGA+U

Structural model:
```
Li7Mn4CoO12
1.0
7.661 -1.437 0.000
7.661 1.437 0.000
-3.112 0.000 9.930
Li Mn Co O
7 4 1 12
Direct
0.000 0.000 0.000
0.000 0.000 0.484
0.162 0.162 0.407
0.325 0.325 0.330
0.326 0.326 0.819
0.659 0.659 0.644
0.666 0.666 0.174
0.166 0.166 0.913
0.494 0.494 0.735
0.503 0.503 0.252
0.820 0.820 0.560
0.834 0.834 0.084
0.069 0.069 0.696
0.071 0.071 0.202
0.253 0.253 0.613
0.260 0.260 0.120
0.399 0.399 0.532
0.411 0.411 0.052
0.571 0.571 0.430
0.589 0.589 0.951
0.741 0.741 0.872
0.752 0.752 0.383
0.914 0.914 0.768
0.924 0.924 0.280
```

The 10 most intense peaks (2θ from 10° to 80°), in order of falling intensity:
2θ/deg	intensity
18.4	100
44.1	56
41.8	32
36.3	23
34.5	17
62.6	15
62.2	15
58.1	10
12.1	9
47.4	9